(1)
Computed powder XRD pattern of Pu2SnSe2O2 for CuKα, from a structure optimized by DFT (GGA-PBE).

Cell and atoms:
Unit cell a=3.7144 b=3.7144 c=13.9924 alpha=90.00 beta=90.00 gamma=120.00
Fractional coordinates of all 7 atoms:
Pu1 0.3333 0.6667 0.2653
Pu2 0.6667 0.3333 0.7347
Sn1 0.0000 0.0000 0.5000
Se1 0.0000 0.0000 0.1357
Se2 0.0000 0.0000 0.8643
O1 0.3333 0.6667 0.6844
O2 0.6667 0.3333 0.3156

Main lines, by angle (10 to 90 degrees two-theta):
d 6.996, rel. 96
d 3.498, rel. 21
d 3.135, rel. 85
d 2.923, rel. 60
d 2.648, rel. 100
d 2.368, rel. 22
d 2.111, rel. 30
d 1.888, rel. 26
d 1.857, rel. 42
d 1.521, rel. 19

(2)
Computed powder XRD pattern of TbPuSe2O for CuKα, from a structure optimized by DFT (GGA-PBE).

Cell and atoms:
Unit cell a=3.9883 b=3.9883 c=14.4247 alpha=90.00 beta=90.00 gamma=90.00
Fractional coordinates of all 10 atoms:
Tb1 0.2500 0.2500 0.1232
Tb2 0.7500 0.7500 0.8768
Pu1 0.2500 0.2500 0.5820
Pu2 0.7500 0.7500 0.4180
Se1 0.2500 0.2500 0.3119
Se2 0.2500 0.2500 0.9087
Se3 0.7500 0.7500 0.0913
Se4 0.7500 0.7500 0.6881
O1 0.2500 0.7500 0.5000
O2 0.7500 0.2500 0.5000

Main lines, by angle (10 to 90 degrees two-theta):
d 7.212, rel. 22
d 3.606, rel. 30
d 3.490, rel. 63
d 3.070, rel. 46
d 2.820, rel. 100
d 2.675, rel. 33
d 2.338, rel. 33
d 2.221, rel. 40
d 1.994, rel. 42
d 1.830, rel. 19

(3)
Computed powder XRD pattern of PuThSe2O for CuKα, from a structure optimized by DFT (GGA-PBE).

Cell and atoms:
Unit cell a=4.0897 b=4.0897 c=13.9422 alpha=90.00 beta=90.00 gamma=90.00
Fractional coordinates of all 10 atoms:
Pu1 0.2500 0.2500 0.0809
Pu2 0.7500 0.7500 0.9191
Th1 0.2500 0.2500 0.6059
Th2 0.7500 0.7500 0.3941
Se1 0.2500 0.2500 0.3809
Se2 0.2500 0.2500 0.8113
Se3 0.7500 0.7500 0.1887
Se4 0.7500 0.7500 0.6191
O1 0.2500 0.7500 0.0000
O2 0.7500 0.2500 0.0000

Main lines, by angle (10 to 90 degrees two-theta):
d 6.971, rel. 22
d 3.527, rel. 71
d 3.486, rel. 29
d 2.892, rel. 100
d 2.653, rel. 64
d 2.226, rel. 42
d 2.045, rel. 42
d 1.811, rel. 20
d 1.769, rel. 22
d 1.620, rel. 30

(4)
Computed powder XRD pattern of PuTlSeO6 for CuKα, from a structure optimized by DFT (GGA-PBE).

Cell and atoms:
Unit cell a=5.7161 b=5.9320 c=6.1085 alpha=118.42 beta=90.08 gamma=91.04
Fractional coordinates of all 9 atoms:
Pu1 0.0000 0.0000 0.0000
Tl1 0.5008 0.3708 0.6902
Se1 0.0220 0.5918 0.2464
O1 0.1919 0.6928 0.0721
O2 0.1970 0.3597 0.2708
O3 0.2060 0.9728 0.7625
O4 0.7965 0.7512 0.7555
O5 0.8119 0.0308 0.2523
O6 0.8297 0.3655 0.0224

Main lines, by angle (10 to 90 degrees two-theta):
d 5.372, rel. 35
d 3.937, rel. 69
d 3.893, rel. 100
d 3.853, rel. 56
d 3.813, rel. 87
d 3.080, rel. 34
d 3.051, rel. 39
d 2.965, rel. 42
d 2.086, rel. 38
d 2.076, rel. 40

(5)
Computed powder XRD pattern of Pu2SiO10 for CuKα, from a structure optimized by DFT (GGA-PBE).

Cell and atoms:
Unit cell a=10.4147 b=10.4147 c=10.4147 alpha=140.20 beta=140.20 gamma=57.54
Fractional coordinates of all 26 atoms:
Pu1 0.0493 0.2993 0.7500
Pu2 0.2993 0.0493 0.2500
Pu3 0.7007 0.9507 0.7500
Pu4 0.9507 0.7007 0.2500
Si1 0.1250 0.8750 0.2500
Si2 0.8750 0.1250 0.7500
O1 0.0115 0.9346 0.0769
O2 0.0654 0.6423 0.0769
O3 0.0654 0.9885 0.4231
O4 0.1505 0.4005 0.7500
O5 0.2087 0.7085 0.5002
O6 0.2917 0.2915 0.0002
O7 0.2915 0.2917 0.5002
O8 0.2915 0.7913 0.9998
O9 0.3577 0.9346 0.4231
O10 0.4005 0.1505 0.2500
O11 0.5995 0.8495 0.7500
O12 0.6423 0.0654 0.5769
O13 0.7085 0.2087 0.0002
O14 0.7083 0.7085 0.9998
O15 0.7085 0.7083 0.4998
O16 0.7913 0.2915 0.4998
O17 0.8495 0.5995 0.2500
O18 0.9346 0.0115 0.5769
O19 0.9346 0.3577 0.9231
O20 0.9885 0.0654 0.9231

Main lines, by angle (10 to 90 degrees two-theta):
d 6.609, rel. 92
d 4.618, rel. 100
d 4.394, rel. 56
d 3.545, rel. 81
d 3.246, rel. 31
d 3.124, rel. 21
d 2.812, rel. 37
d 2.601, rel. 46
d 2.177, rel. 24
d 1.805, rel. 37

(6)
Computed powder XRD pattern of SrPuSi2O8 for CuKα, from a structure optimized by DFT (GGA-PBE).

Cell and atoms:
Unit cell a=5.9196 b=5.9196 c=5.9196 alpha=106.12 beta=106.12 gamma=116.40
Fractional coordinates of all 12 atoms:
Sr1 0.0000 0.0000 0.0000
Pu1 0.2500 0.7500 0.5000
Si1 0.5000 0.5000 0.0000
Si2 0.7500 0.2500 0.5000
O1 0.3453 0.1552 0.8098
O2 0.3453 0.5355 0.1902
O3 0.4023 0.0701 0.3322
O4 0.4645 0.6547 0.8098
O5 0.7379 0.0701 0.6678
O6 0.8448 0.6547 0.1902
O7 0.9299 0.2621 0.3322
O8 0.9299 0.5977 0.6678

Main lines, by angle (10 to 90 degrees two-theta):
d 5.031, rel. 31
d 4.691, rel. 94
d 3.557, rel. 100
d 2.834, rel. 42
d 2.651, rel. 68
d 2.515, rel. 21
d 2.217, rel. 27
d 1.996, rel. 18
d 1.881, rel. 26
d 1.825, rel. 58